No. 1
Computed powder X-ray diffraction pattern of RbLiZnHSe for Cu Kα, 1.54184 Å, from a structure optimized by DFT (PBE).

Principal peaks in the range 10 to 90 degrees two-theta, sorted by position:
- d = 6.631 Å, intensity 23, hkl 2 0 0
- d = 3.751 Å, intensity 64, hkl 2 0 -1
- d = 3.426 Å, intensity 50, hkl 2 0 1
- d = 2.942 Å, intensity 100, hkl 3 1 0
- d = 2.864 Å, intensity 33, hkl 1 1 -1
- d = 2.784 Å, intensity 48, hkl 1 1 1
- d = 2.497 Å, intensity 31, hkl 3 1 -1
- d = 2.124 Å, intensity 22, hkl 0 0 2
- d = 1.891 Å, intensity 25, hkl 5 1 1
- d = 1.670 Å, intensity 21, hkl 3 1 2

Atomic structure:
```
data_RbLiZnHSe
_chemical_formula_sum 'Rb2 Li2 Zn2 H2 Se2'
_cell_length_a 13.327
_cell_length_b 3.941
_cell_length_c 4.270
_cell_angle_alpha 90.00
_cell_angle_beta 95.71
_cell_angle_gamma 90.00
_space_group_name_H-M_alt 'C 1 m 1'
_space_group_IT_number 8
loop_
_space_group_symop_operation_xyz
'x,y,z'
'x,-y,z'
'x+1/2,y+1/2,z'
'x+1/2,-y+1/2,z'
loop_
_atom_site_label
_atom_site_type_symbol
_atom_site_fract_x
_atom_site_fract_y
_atom_site_fract_z
Rb1 Rb 0.000 0.000 0.000
Li1 Li 0.248 0.500 0.075
Zn1 Zn 0.275 0.000 0.574
H1 H 0.321 0.000 0.975
Se1 Se 0.147 0.500 0.543
```

No. 2
Computed powder X-ray diffraction pattern of CsBaTe2Au for Cu Kα, 1.54184 Å, from a structure optimized by DFT (PBE).

Principal peaks in the range 10 to 90 degrees two-theta, sorted by position:
- d = 4.659 Å, intensity 71, hkl 2 0 0
- d = 3.849 Å, intensity 100, hkl 1 3 1
- d = 3.637 Å, intensity 42, hkl 2 0 1
- d = 3.383 Å, intensity 68, hkl 2 2 1
- d = 2.956 Å, intensity 30, hkl 1 5 1
- d = 2.856 Å, intensity 50, hkl 2 4 1
- d = 2.774 Å, intensity 37, hkl 0 2 2
- d = 2.503 Å, intensity 32, hkl 3 3 1
- d = 2.461 Å, intensity 28, hkl 0 4 2
- d = 2.329 Å, intensity 32, hkl 4 0 0

Atomic structure:
```
data_CsBaTe2Au
_chemical_formula_sum 'Cs4 Ba4 Te8 Au4'
_cell_length_a 9.319
_cell_length_b 18.453
_cell_length_c 5.818
_cell_angle_alpha 90.00
_cell_angle_beta 90.00
_cell_angle_gamma 90.00
_space_group_name_H-M_alt 'C m m e'
_space_group_IT_number 67
_space_group_name_Hall '-C 2a 2'
loop_
_atom_site_label
_atom_site_type_symbol
_atom_site_fract_x
_atom_site_fract_y
_atom_site_fract_z
Cs1 Cs 0.000 0.250 0.242
Ba1 Ba 0.250 0.000 0.500
Te1 Te 0.000 0.117 0.744
Au1 Au 0.000 0.000 0.000
```

No. 3
Computed powder X-ray diffraction pattern of Bi2Te7Cl8 for Cu Kα, 1.54184 Å, from a structure optimized by DFT (PBE).

Principal peaks in the range 10 to 90 degrees two-theta, sorted by position:
- d = 5.134 Å, intensity 100, hkl 0 1 -3
- d = 4.503 Å, intensity 52, hkl 0 3 -1
- d = 4.376 Å, intensity 28, hkl 0 2 2
- d = 4.353 Å, intensity 30, hkl 1 -1 2
- d = 3.607 Å, intensity 29, hkl 1 2 1
- d = 2.807 Å, intensity 30, hkl 1 -4 3
- d = 2.707 Å, intensity 48, hkl 2 -1 1
- d = 2.291 Å, intensity 28, hkl 0 5 -5
- d = 2.244 Å, intensity 25, hkl 2 3 -1
- d = 2.189 Å, intensity 33, hkl -2 3 3

Atomic structure:
```
data_Bi2Te7Cl8
_chemical_formula_sum 'Bi4 Te14 Cl16'
_cell_length_a 5.592
_cell_length_b 13.631
_cell_length_c 15.565
_cell_angle_alpha 104.66
_cell_angle_beta 94.63
_cell_angle_gamma 96.67
_space_group_name_H-M_alt 'P -1'
_space_group_IT_number 2
loop_
_space_group_symop_operation_xyz
'x,y,z'
'-x,-y,-z'
loop_
_atom_site_label
_atom_site_type_symbol
_atom_site_fract_x
_atom_site_fract_y
_atom_site_fract_z
Bi1 Bi 0.088 0.408 0.106
Bi2 Bi 0.206 0.741 0.224
Te1 Te 0.060 0.650 0.545
Te2 Te 0.176 0.956 0.652
Te3 Te 0.188 0.017 0.938
Te4 Te 0.212 0.164 0.467
Te5 Te 0.354 0.492 0.569
Te6 Te 0.438 0.852 0.934
Te7 Te 0.472 0.809 0.664
Cl1 Cl 0.018 0.753 0.814
Cl2 Cl 0.087 0.552 0.271
Cl3 Cl 0.144 0.258 0.961
Cl4 Cl 0.190 0.850 0.388
Cl5 Cl 0.273 0.577 0.057
Cl6 Cl 0.361 0.277 0.729
Cl7 Cl 0.368 0.919 0.193
Cl8 Cl 0.477 0.603 0.836
```

No. 4
Computed powder X-ray diffraction pattern of KRb2YBr6 for Cu Kα, 1.54184 Å, from a structure optimized by DFT (PBE).

Principal peaks in the range 10 to 90 degrees two-theta, sorted by position:
- d = 6.847 Å, intensity 14, hkl 1 1 1
- d = 5.930 Å, intensity 15, hkl 2 0 0
- d = 4.193 Å, intensity 17, hkl 2 2 0
- d = 3.424 Å, intensity 87, hkl 2 2 2
- d = 2.965 Å, intensity 100, hkl 4 0 0
- d = 2.097 Å, intensity 71, hkl 4 4 0
- d = 1.788 Å, intensity 37, hkl 6 2 2
- d = 1.712 Å, intensity 24, hkl 4 4 4
- d = 1.326 Å, intensity 29, hkl 8 4 0
- d = 1.210 Å, intensity 21, hkl 8 4 4

Atomic structure:
```
data_KRb2YBr6
_chemical_formula_sum 'K4 Rb8 Y4 Br24'
_cell_length_a 11.860
_cell_length_b 11.860
_cell_length_c 11.860
_cell_angle_alpha 90.00
_cell_angle_beta 90.00
_cell_angle_gamma 90.00
_space_group_name_H-M_alt 'F m -3 m'
_space_group_IT_number 225
_space_group_name_Hall '-F 4 2 3'
loop_
_atom_site_label
_atom_site_type_symbol
_atom_site_fract_x
_atom_site_fract_y
_atom_site_fract_z
K1 K 0.000 0.000 0.000
Rb1 Rb 0.250 0.250 0.250
Y1 Y 0.000 0.000 0.500
Br1 Br 0.000 0.000 0.265
```

No. 5
Computed powder X-ray diffraction pattern of MgHg2Br6 for Cu Kα, 1.54184 Å, from a structure optimized by DFT (PBE).

Principal peaks in the range 10 to 90 degrees two-theta, sorted by position:
- d = 5.952 Å, intensity 31, hkl 1 1 -1
- d = 4.657 Å, intensity 33, hkl 0 2 1
- d = 4.136 Å, intensity 60, hkl 3 1 0
- d = 3.620 Å, intensity 43, hkl 2 2 1
- d = 3.499 Å, intensity 29, hkl 1 3 -1
- d = 3.476 Å, intensity 45, hkl 1 1 -2
- d = 3.355 Å, intensity 66, hkl 1 3 1
- d = 3.296 Å, intensity 39, hkl 4 0 0
- d = 2.087 Å, intensity 55, hkl 1 3 -3
- d = 2.036 Å, intensity 100, hkl 5 3 1

Atomic structure:
```
data_MgHg2Br6
_chemical_formula_sum 'Mg4 Hg8 Br24'
_cell_length_a 13.378
_cell_length_b 12.232
_cell_length_c 7.289
_cell_angle_alpha 90.00
_cell_angle_beta 99.79
_cell_angle_gamma 90.00
_space_group_name_H-M_alt 'C 1 2/c 1'
_space_group_IT_number 15
loop_
_space_group_symop_operation_xyz
'x,y,z'
'-x,-y,-z'
'-x,y,-z+1/2'
'x,-y,z+1/2'
'x+1/2,y+1/2,z'
'-x+1/2,-y+1/2,-z'
'-x+1/2,y+1/2,-z+1/2'
'x+1/2,-y+1/2,z+1/2'
loop_
_atom_site_label
_atom_site_type_symbol
_atom_site_fract_x
_atom_site_fract_y
_atom_site_fract_z
Mg1 Mg 0.000 0.091 0.250
Hg1 Hg 0.179 0.406 0.323
Br1 Br 0.108 0.075 0.604
Br2 Br 0.122 0.233 0.122
Br3 Br 0.122 0.404 0.655
```

No. 6
Computed powder X-ray diffraction pattern of CdNi3N for Cu Kα, 1.54184 Å, from a structure optimized by DFT (PBE).

Principal peaks in the range 10 to 90 degrees two-theta, sorted by position:
- d = 3.093 Å, intensity 16, hkl 0 1 1
- d = 2.253 Å, intensity 100, hkl 1 1 0
- d = 2.235 Å, intensity 96, hkl 0 1 2
- d = 1.993 Å, intensity 79, hkl 1 0 2
- d = 1.855 Å, intensity 32, hkl 0 2 0
- d = 1.418 Å, intensity 12, hkl 2 0 0
- d = 1.358 Å, intensity 41, hkl 1 2 2
- d = 1.197 Å, intensity 23, hkl 2 1 2
- d = 1.189 Å, intensity 22, hkl 1 1 4
- d = 1.127 Å, intensity 11, hkl 2 2 0

Atomic structure:
```
data_CdNi3N
_chemical_formula_sum 'Cd1 Ni3 N1'
_cell_length_a 2.836
_cell_length_b 3.710
_cell_length_c 5.602
_cell_angle_alpha 90.00
_cell_angle_beta 90.00
_cell_angle_gamma 90.00
_space_group_name_H-M_alt 'P m m m'
_space_group_IT_number 47
loop_
_space_group_symop_operation_xyz
'x,y,z'
'-x,-y,-z'
'-x,-y,z'
'x,y,-z'
'x,-y,-z'
'-x,y,z'
'-x,y,-z'
'x,-y,z'
loop_
_atom_site_label
_atom_site_type_symbol
_atom_site_fract_x
_atom_site_fract_y
_atom_site_fract_z
Cd1 Cd 0.000 0.000 0.000
Ni1 Ni 0.000 0.000 0.500
Ni2 Ni 0.500 0.500 0.264
N1 N 0.000 0.500 0.500
```